Starting from the PBE geometry in the Materials Project, the powder diffractogram of ZrSiO4 was calculated for λ = 1.5418 Å (Cu Kα).
Peak positions follow from Bragg's law for the DFT cell and can differ from measured ones.

Structural model:
```
ZrSiO4
1.0
4.7196 0.0000 0.0000
0.0000 5.1839 0.0000
-0.7411 0.0000 4.8800
Zr Si O
2 2 8
direct
0.0000 0.2224 0.2500
0.0000 0.7776 0.7500
0.5000 0.3337 0.7500
0.5000 0.6663 0.2500
0.2526 0.1073 0.6098
0.2526 0.8927 0.1098
0.2817 0.4215 0.0168
0.2817 0.5785 0.5168
0.7183 0.4215 0.4832
0.7183 0.5785 0.9832
0.7474 0.1073 0.8902
0.7474 0.8927 0.3902
```

Principal peaks in the range 2θ = 10–90°, by intensity:
Position (°2θ)  intensity
29.90  100
33.32  72
19.02  34
25.06  33
51.43  21
52.79  21
49.86  21
39.78  20
60.07  18
44.04  17



Starting from the PBE geometry in the Materials Project, the powder diffractogram of LiZrRh2 was calculated for λ = 1.5418 Å (Cu Kα).
Peak positions follow from Bragg's law for the DFT cell and can differ from measured ones.

Structural model:
```
LiZrRh2
1.0
0.0000 3.1482 3.1482
3.1482 0.0000 3.1482
3.1482 3.1482 0.0000
Li Zr Rh
1 1 2
direct
0.0000 0.0000 0.0000
0.5000 0.5000 0.5000
0.2500 0.2500 0.2500
0.7500 0.7500 0.7500
```

Principal peaks in the range 2θ = 10–90°, by intensity:
Position (°2θ)  intensity
40.52  100
73.71  33
24.49  21
28.35  18
58.65  16
87.67  11
47.92  10
66.40  6
50.19  5
64.51  4



Starting from the PBE geometry in the Materials Project, the powder diffractogram of Li3NbS4 was calculated for λ = 1.5418 Å (Cu Kα).
Peak positions follow from Bragg's law for the DFT cell and can differ from measured ones.

Structural model:
```
Li3NbS4
1.0
6.1051 0.0000 0.0000
0.0000 6.1051 0.0000
0.0000 0.0000 6.1051
Li Nb S
3 1 4
direct
0.0000 0.0000 0.5000
0.0000 0.5000 0.0000
0.5000 0.0000 0.0000
0.0000 0.0000 0.0000
0.2164 0.2164 0.2164
0.2164 0.7836 0.7836
0.7836 0.2164 0.7836
0.7836 0.7836 0.2164
```

Principal peaks in the range 2θ = 10–90°, by intensity:
Position (°2θ)  intensity
14.51  100
25.27  48
20.57  48
41.85  37
36.04  24
44.52  20
54.17  20
32.80  17
56.39  16
49.52  14



Starting from the PBE geometry in the Materials Project, the powder diffractogram of Li2Mg was calculated for λ = 1.5418 Å (Cu Kα).
Peak positions follow from Bragg's law for the DFT cell and can differ from measured ones.

Structural model:
```
Li2Mg
1.0
4.5709 -2.6325 0.0000
4.5709 2.6325 0.0000
0.0000 0.0000 4.9975
Li Mg
4 2
direct
0.0008 0.3333 0.2500
0.3333 0.0008 0.7500
0.6667 0.9992 0.2500
0.9992 0.6667 0.7500
0.3308 0.6692 0.2500
0.6692 0.3308 0.7500
```

Principal peaks in the range 2θ = 10–90°, by intensity:
Position (°2θ)  intensity
38.62  100
19.43  65
26.45  63
35.94  27
34.02  24
66.39  19
41.18  18
50.32  15
43.62  14
56.38  13



Starting from the PBE geometry in the Materials Project, the powder diffractogram of ErNi4B was calculated for λ = 1.5418 Å (Cu Kα).
Peak positions follow from Bragg's law for the DFT cell and can differ from measured ones.

Structural model:
```
ErNi4B
1.0
4.9414 0.0000 0.0000
-2.4707 4.2794 0.0000
0.0000 0.0000 6.9452
Er Ni B
2 8 2
direct
0.0000 0.0000 0.0000
0.0000 0.0000 0.5000
0.0000 0.5000 0.2084
0.0000 0.5000 0.7916
0.3333 0.6667 0.5000
0.5000 0.0000 0.2084
0.5000 0.0000 0.7916
0.5000 0.5000 0.2084
0.5000 0.5000 0.7916
0.6667 0.3333 0.5000
0.3333 0.6667 0.0000
0.6667 0.3333 0.0000
```

Principal peaks in the range 2θ = 10–90°, by intensity:
Position (°2θ)  intensity
45.03  100
33.22  93
42.24  73
36.36  32
63.44  29
71.50  24
77.22  20
69.75  16
20.76  16
65.73  16



Starting from the PBE geometry in the Materials Project, the powder diffractogram of MgBi2O4 was calculated for λ = 1.5418 Å (Cu Kα).
Peak positions follow from Bragg's law for the DFT cell and can differ from measured ones.

Structural model:
```
MgBi2O4
1.0
3.4583 1.9966 5.4226
-3.4583 1.9966 5.4226
0.0000 -3.9933 5.4226
Mg Bi O
2 4 8
direct
0.0000 0.0000 0.0000
0.3763 0.3763 0.3763
0.3751 0.3751 0.8815
0.3751 0.8815 0.3751
0.7593 0.7593 0.7593
0.8815 0.3751 0.3751
0.1262 0.1262 0.1262
0.1324 0.1324 0.6191
0.1324 0.6191 0.1324
0.1632 0.5978 0.5978
0.5978 0.1632 0.5978
0.5978 0.5978 0.1632
0.6191 0.1324 0.1324
0.6260 0.6260 0.6260
```

Principal peaks in the range 2θ = 10–90°, by intensity:
Position (°2θ)  intensity
30.35  100
30.66  52
16.35  51
31.84  46
26.49  39
52.95  35
18.39  32
54.55  31
37.29  29
31.29  28